Entry 1:
This entry pairs a crystal structure of HfNbB4 with its computed powder diffractogram. Radiation: CuKα. Structure: a DFT-relaxed cell (PBE, the Materials Project).
Peak positions follow from Bragg's law for the DFT cell and can differ from measured ones.

Main lines, low angle first (2θ = 10–80°):
2θ 13.01, I 21
2θ 26.19, I 41
2θ 33.02, I 80
2θ 42.62, I 100
2θ 58.98, I 21
2θ 64.66, I 24

Structural model:
Cell: 3.132 3.132 6.806 Å, 90.00 90.00 120.00°
Positions (direct):
Hf 0.000 0.000 0.000
Nb 0.000 0.000 0.500
B 0.333 0.667 0.254
B 0.333 0.667 0.746
B 0.667 0.333 0.254
B 0.667 0.333 0.746

Entry 2:
This entry pairs a crystal structure of Hf3Ni20B6 with its computed powder diffractogram. Radiation: CuKα. Structure: a DFT-relaxed cell (PBE, the Materials Project).
Peak positions follow from Bragg's law for the DFT cell and can differ from measured ones.

Main lines, low angle first (2θ = 10–80°):
2θ 23.62, I 31
2θ 37.76, I 35
2θ 41.53, I 74
2θ 44.17, I 100
2θ 48.33, I 39
2θ 75.76, I 39

Structural model:
Cell: 7.533 7.533 7.533 Å, 60.00 60.00 60.00°
Positions (direct):
Hf 0.000 0.000 0.000
Hf 0.250 0.250 0.250
Hf 0.750 0.750 0.750
Ni 0.000 0.000 0.344
Ni 0.000 0.000 0.656
Ni 0.000 0.344 0.000
Ni 0.000 0.344 0.656
Ni 0.000 0.656 0.000
Ni 0.000 0.656 0.344
Ni 0.158 0.614 0.614
Ni 0.344 0.000 0.000
Ni 0.344 0.000 0.656
Ni 0.344 0.656 0.000
Ni 0.386 0.386 0.386
Ni 0.386 0.386 0.842
Ni 0.386 0.842 0.386
Ni 0.614 0.158 0.614
Ni 0.614 0.614 0.158
Ni 0.614 0.614 0.614
Ni 0.656 0.000 0.000
Ni 0.656 0.000 0.344
Ni 0.656 0.344 0.000
Ni 0.842 0.386 0.386
B 0.267 0.267 0.733
B 0.267 0.733 0.267
B 0.267 0.733 0.733
B 0.733 0.267 0.267
B 0.733 0.267 0.733
B 0.733 0.733 0.267

Entry 3:
This entry pairs a crystal structure of HfBO3 with its computed powder diffractogram. Radiation: CuKα. Structure: a DFT-relaxed cell (PBE, the Materials Project).
Peak positions follow from Bragg's law for the DFT cell and can differ from measured ones.

Main lines, low angle first (2θ = 10–80°):
2θ 26.02, I 99
2θ 37.12, I 100
2θ 45.89, I 60
2θ 53.51, I 32
2θ 60.44, I 43
2θ 66.92, I 37

Structural model:
Cell: 3.425 3.425 3.425 Å, 90.00 90.00 90.00°
Positions (direct):
Hf 0.000 0.000 0.000
B 0.500 0.500 0.500
O 0.000 0.500 0.500
O 0.500 0.000 0.500
O 0.500 0.500 0.000

Entry 4:
This entry pairs a crystal structure of Hf9BOs4 with its computed powder diffractogram. Radiation: CuKα. Structure: a DFT-relaxed cell (PBE, the Materials Project).
Peak positions follow from Bragg's law for the DFT cell and can differ from measured ones.

Main lines, low angle first (2θ = 10–80°):
2θ 33.66, I 36
2θ 38.71, I 81
2θ 38.99, I 100
2θ 40.14, I 51
2θ 64.83, I 30
2θ 66.82, I 31

Structural model:
Cell: 8.371 8.371 8.589 Å, 90.00 90.00 120.00°
Positions (direct):
Hf 0.084 0.542 0.250
Hf 0.199 0.398 0.560
Hf 0.199 0.398 0.940
Hf 0.199 0.801 0.560
Hf 0.199 0.801 0.940
Hf 0.398 0.199 0.060
Hf 0.398 0.199 0.440
Hf 0.458 0.542 0.250
Hf 0.458 0.916 0.250
Hf 0.542 0.084 0.750
Hf 0.542 0.458 0.750
Hf 0.602 0.801 0.560
Hf 0.602 0.801 0.940
Hf 0.801 0.199 0.060
Hf 0.801 0.199 0.440
Hf 0.801 0.602 0.060
Hf 0.801 0.602 0.440
Hf 0.916 0.458 0.750
B 0.333 0.667 0.750
B 0.667 0.333 0.250
Os 0.000 0.000 0.000
Os 0.000 0.000 0.500
Os 0.114 0.228 0.250
Os 0.114 0.886 0.250
Os 0.228 0.114 0.750
Os 0.772 0.886 0.250
Os 0.886 0.114 0.750
Os 0.886 0.772 0.750